# 1
# Hf6ReMo
Simulated powder XRD pattern, copper Kα. Input: a GGA-PBE-relaxed structure.
Intensities are scaled so that the largest is 100.

Structure:
```
data_Hf6ReMo
_chemical_formula_sum 'Hf12 Re2 Mo2'
_cell_length_a 4.7110
_cell_length_b 4.7110
_cell_length_c 14.5486
_cell_angle_alpha 90.00
_cell_angle_beta 90.00
_cell_angle_gamma 90.00
_symmetry_space_group_name_H-M 'I 4/m m m'
_symmetry_Int_Tables_number 139
_symmetry_space_group_name_Hall '-I 4 2'
loop_
_atom_site_label
_atom_site_type_symbol
_atom_site_fract_x
_atom_site_fract_y
_atom_site_fract_z
_atom_site_occupancy
Hf1 Hf 0.0000 0.0000 0.2495 1
Hf2 Hf 0.0000 0.5000 0.1076 1
Re1 Re 0.0000 0.0000 0.5000 1
Mo1 Mo 0.0000 0.0000 0.0000 1
```

The 6 most intense peaks (2θ from 15° to 90°), by angle:
(1 1 4), 36.58°, d = 2.457 Å, intensity 100; (2 0 0), 38.21°, d = 2.355 Å, intensity 49; (2 2 0), 55.14°, d = 1.666 Å, intensity 17; (2 0 8), 64.76°, d = 1.439 Å, intensity 14; (3 1 4), 68.00°, d = 1.379 Å, intensity 33; (2 2 8), 77.75°, d = 1.228 Å, intensity 8



# 2
# FeCo6
Simulated powder XRD pattern, copper Kα. Input: a GGA-PBE-relaxed structure.
Intensities are scaled so that the largest is 100.

Structure:
```
data_FeCo6
_chemical_formula_sum 'Fe3 Co18'
_cell_length_a 10.5098
_cell_length_b 10.5098
_cell_length_c 2.4582
_cell_angle_alpha 90.00
_cell_angle_beta 90.00
_cell_angle_gamma 120.00
_symmetry_space_group_name_H-M 'R -3'
_symmetry_Int_Tables_number 148
_symmetry_space_group_name_Hall '-R 3'
loop_
_atom_site_label
_atom_site_type_symbol
_atom_site_fract_x
_atom_site_fract_y
_atom_site_fract_z
_atom_site_occupancy
Fe1 Fe 0.0000 0.0000 0.0000 1
Co1 Co 0.0447 0.8086 0.6952 1
```

The 6 most intense peaks (2θ from 15° to 90°), by angle:
(3 -1 1), 45.34°, d = 2.000 Å, intensity 100; (4 1 0), 45.68°, d = 1.986 Å, intensity 100; (2 4 1), 66.32°, d = 1.409 Å, intensity 29; (1 2 2), 83.52°, d = 1.157 Å, intensity 13; (7 0 1), 84.25°, d = 1.149 Å, intensity 28; (3 6 0), 84.49°, d = 1.147 Å, intensity 14



# 3
# SrCa3Pd
Simulated powder XRD pattern, copper Kα. Input: a GGA-PBE-relaxed structure.
Intensities are scaled so that the largest is 100.

Structure:
```
data_SrCa3Pd
_chemical_formula_sum 'Sr2 Ca6 Pd2'
_cell_length_a 9.5127
_cell_length_b 4.0441
_cell_length_c 9.5974
_cell_angle_alpha 90.00
_cell_angle_beta 101.84
_cell_angle_gamma 90.00
_symmetry_space_group_name_H-M 'P 1 m 1'
_symmetry_Int_Tables_number 6
loop_
_symmetry_equiv_pos_as_xyz
'x,y,z'
'x,-y,z'
loop_
_atom_site_label
_atom_site_type_symbol
_atom_site_fract_x
_atom_site_fract_y
_atom_site_fract_z
_atom_site_occupancy
Sr1 Sr 0.0000 0.0000 0.0000 1
Sr2 Sr 0.1430 0.0000 0.3999 1
Ca1 Ca 0.2250 0.5000 0.7588 1
Ca2 Ca 0.4173 0.0000 0.0986 1
Ca3 Ca 0.4742 0.5000 0.4538 1
Ca4 Ca 0.6174 0.5000 0.8432 1
Ca5 Ca 0.7786 0.5000 0.2476 1
Ca6 Ca 0.8141 0.0000 0.5995 1
Pd1 Pd 0.2239 0.5000 0.1777 1
Pd2 Pd 0.4251 0.0000 0.6716 1
```

The 6 most intense peaks (2θ from 15° to 90°), by angle:
(2 1 0), 29.25°, d = 3.053 Å, intensity 41; (2 1 -1), 29.50°, d = 3.028 Å, intensity 100; (2 0 2), 29.66°, d = 3.012 Å, intensity 46; (1 1 2), 31.95°, d = 2.801 Å, intensity 62; (2 1 -2), 32.77°, d = 2.733 Å, intensity 43; (0 1 3), 36.30°, d = 2.475 Å, intensity 59



# 4
# Pr3MgHg4
Simulated powder XRD pattern, copper Kα. Input: a GGA-PBE-relaxed structure.
Intensities are scaled so that the largest is 100.

Structure:
```
data_Pr3MgHg4
_chemical_formula_sum 'Pr9 Mg3 Hg12'
_cell_length_a 5.2845
_cell_length_b 5.2845
_cell_length_c 27.0827
_cell_angle_alpha 90.00
_cell_angle_beta 90.00
_cell_angle_gamma 120.00
_symmetry_space_group_name_H-M 'R -3 m'
_symmetry_Int_Tables_number 166
_symmetry_space_group_name_Hall '-R 3 2"'
loop_
_atom_site_label
_atom_site_type_symbol
_atom_site_fract_x
_atom_site_fract_y
_atom_site_fract_z
_atom_site_occupancy
Pr1 Pr 0.0000 0.0000 0.0000 1
Pr2 Pr 0.0000 0.0000 0.2425 1
Mg1 Mg 0.0000 0.0000 0.5000 1
Hg1 Hg 0.0000 0.0000 0.1253 1
Hg2 Hg 0.0000 0.0000 0.3757 1
```

The 6 most intense peaks (2θ from 15° to 90°), by angle:
(1 0 4), 23.46°, d = 3.792 Å, intensity 18; (0 1 8), 32.91°, d = 2.722 Å, intensity 100; (1 1 0), 33.93°, d = 2.642 Å, intensity 95; (2 0 8), 47.99°, d = 1.896 Å, intensity 37; (1 0 16), 58.10°, d = 1.588 Å, intensity 18; (1 2 8), 60.06°, d = 1.540 Å, intensity 37



# 5
# Y3Pd2Rh
Simulated powder XRD pattern, copper Kα. Input: a GGA-PBE-relaxed structure.
Intensities are scaled so that the largest is 100.

Structure:
```
data_Y3Pd2Rh
_chemical_formula_sum 'Y3 Pd2 Rh1'
_cell_length_a 3.4593
_cell_length_b 3.4593
_cell_length_c 10.6587
_cell_angle_alpha 90.00
_cell_angle_beta 90.00
_cell_angle_gamma 90.00
_symmetry_space_group_name_H-M 'P 4/m m m'
_symmetry_Int_Tables_number 123
_symmetry_space_group_name_Hall '-P 4 2'
loop_
_atom_site_label
_atom_site_type_symbol
_atom_site_fract_x
_atom_site_fract_y
_atom_site_fract_z
_atom_site_occupancy
Y1 Y 0.0000 0.0000 0.0000 1
Y2 Y 0.0000 0.0000 0.3408 1
Pd1 Pd 0.5000 0.5000 0.1674 1
Rh1 Rh 0.5000 0.5000 0.5000 1
```

The 6 most intense peaks (2θ from 15° to 90°), by angle:
(1 0 3), 36.24°, d = 2.479 Å, intensity 100; (1 1 0), 36.74°, d = 2.446 Å, intensity 48; (2 0 0), 52.94°, d = 1.730 Å, intensity 17; (1 1 6), 64.87°, d = 1.437 Å, intensity 17; (2 1 3), 65.85°, d = 1.418 Å, intensity 33; (2 0 6), 76.94°, d = 1.239 Å, intensity 10